Calculated powder X-ray diffraction pattern of Li2CuSiO4 for Cu Kα, from a crystal structure in Alexandria, relaxed with PBE.
No peak broadening, texture or thermal motion is included.

Crystal structure
a b c (Å): 4.955 5.488 7.867
angles (deg): 90.00 127.98 90.00
Fractional coordinates of all 16 atoms:
Li1 0.000 0.152 0.000
Li2 0.000 0.848 0.500
Li3 0.249 0.328 0.754
Li4 0.249 0.672 0.254
Cu1 0.743 0.335 0.237
Cu2 0.743 0.665 0.737
Si1 0.491 0.177 0.501
Si2 0.491 0.823 0.001
O1 0.156 0.180 0.499
O2 0.156 0.820 0.999
O3 0.379 0.319 0.280
O4 0.379 0.681 0.780
O5 0.598 0.109 0.001
O6 0.598 0.891 0.501
O7 0.816 0.314 0.722
O8 0.816 0.686 0.222

Most intense lines, 10 to 80 degrees two-theta, sorted by position:
index  Position (°2θ)  intensity
0 1 1  21.62  100
1 0 0  22.77  61
1 0 -2  23.18  71
0 2 0  32.63  34
0 1 2  33.19  66
0 2 1  35.78  25
2 0 -2  36.27  62
1 2 -1  37.47  24
1 1 1  37.70  29
0 3 2  58.60  40